Structure and theoretical powder X-ray diffraction pattern of MgVBiO5 (a structure optimized by DFT (GGA+U); CuKα).
No peak broadening, texture or thermal motion is included.

Peak list (8 most intense, 2θ = 5–70°, low angle first)
2θ = 17.8°, I 87
2θ = 18.8°, I 39
2θ = 19.4°, I 70
2θ = 25.0°, I 75
2θ = 29.5°, I 100
2θ = 33.2°, I 41
2θ = 34.1°, I 37
2θ = 35.6°, I 34

Cell: 5.3993 11.7020 8.0075 Å, 90.00 112.74 90.00°
Atoms (fractional coordinates):
1 Mg 0.0502 0.0785 0.1762
2 Mg 0.0502 0.4215 0.6762
3 Mg 0.9498 0.5785 0.3238
4 Mg 0.9498 0.9215 0.8238
5 V 0.3144 0.6480 0.0298
6 V 0.3144 0.8520 0.5298
7 V 0.6856 0.1480 0.4702
8 V 0.6856 0.3520 0.9702
9 Bi 0.4410 0.0957 0.8248
10 Bi 0.4410 0.4043 0.3248
11 Bi 0.5590 0.5957 0.6752
12 Bi 0.5590 0.9043 0.1752
13 O 0.1761 0.7146 0.4844
14 O 0.1761 0.7854 0.9844
15 O 0.2024 0.5679 0.1738
16 O 0.2024 0.9321 0.6738
17 O 0.2564 0.5715 0.8299
18 O 0.2564 0.9285 0.3299
19 O 0.2584 0.0266 0.0143
20 O 0.2584 0.4734 0.5143
21 O 0.3482 0.1757 0.3602
22 O 0.3482 0.3243 0.8602
23 O 0.6518 0.6757 0.1398
24 O 0.6518 0.8243 0.6398
25 O 0.7416 0.5266 0.4857
26 O 0.7416 0.9734 0.9857
27 O 0.7436 0.0715 0.6701
28 O 0.7436 0.4285 0.1701
29 O 0.7976 0.0679 0.3262
30 O 0.7976 0.4321 0.8262
31 O 0.8239 0.2146 0.0156
32 O 0.8239 0.2854 0.5156